Record 1
# K4PmTh3Te8
Computed powder XRD pattern, Cu Ka. Input: the PBE geometry in Alexandria.
Neutral-atom scattering factors, no anomalous dispersion.

Main lines, in order of rising 2θ (10° ≤ 2θ ≤ 90°):
| hkl | 2θ/deg | Rel. int. |
| --- | --- | --- |
| 0 0 3 | 10.5 | 50.9 |
| 0 2 4 | 26.9 | 100.0 |
| 0 2 7 | 33.8 | 17.2 |
| 2 0 8 | 36.6 | 40.0 |
| 2 2 0 | 40.1 | 35.3 |
| 4 0 4 | 49.0 | 19.2 |

Cell and atoms:
a b c (Å): 8.9871 8.9871 25.3521
angles (deg): 90.00 90.00 120.00
Space group R-3m (No. 166, hexagonal axes)
Asymmetric unit:
K  0.0000  0.0000  0.0000
K  0.0000  0.5000  0.0000
Pm  0.0000  0.0000  0.5000
Th  0.0000  0.5000  0.5000
Te  0.0000  0.0000  0.2402
Te  0.0008  0.5004  0.7604


Record 2
# K3PmY2Te6
Computed powder XRD pattern, Cu Ka. Input: the PBE geometry in Alexandria.
Neutral-atom scattering factors, no anomalous dispersion.

Main lines, in order of rising 2θ (10° ≤ 2θ ≤ 90°):
| hkl | 2θ/deg | Rel. int. |
| --- | --- | --- |
| 0 0 1 | 10.7 | 30.5 |
| 1 3 1 | 26.9 | 100.0 |
| 2 0 2 | 37.0 | 34.1 |
| 0 6 0 | 39.8 | 36.8 |
| 4 0 0 | 48.7 | 19.0 |
| 4 6 0 | 64.6 | 15.8 |

Cell and atoms:
a b c (Å): 7.846 13.591 8.654
angles (deg): 90.00 107.59 90.00
Space group C2/m (No. 12)
Asymmetric unit:
K  0.000  0.000  0.000
K  0.000  0.335  0.000
Pm  0.000  0.500  0.500
Y  0.000  0.167  0.500
Te  0.231  0.000  0.710
Te  0.240  0.331  0.710


Record 3
# KPrPu2Te4
Computed powder XRD pattern, Cu Ka. Input: the PBE geometry in Alexandria.
Neutral-atom scattering factors, no anomalous dispersion.

Main lines, in order of rising 2θ (10° ≤ 2θ ≤ 90°):
| hkl | 2θ/deg | Rel. int. |
| --- | --- | --- |
| 1 0 0 | 11.8 | 17.8 |
| 2 0 -2 | 27.6 | 100.0 |
| 2 0 2 | 38.9 | 13.0 |
| 1 1 -3 | 39.2 | 26.1 |
| 3 1 -1 | 39.5 | 25.3 |
| 2 2 -2 | 49.2 | 13.7 |

Cell and atoms:
a b c (Å): 7.929 4.519 8.010
angles (deg): 90.00 108.89 90.00
Space group P2/m (No. 10)
Asymmetric unit:
K  0.000  0.000  0.000
Pr  0.000  0.500  0.500
Pu  0.500  0.000  0.500
Pu  0.500  0.500  0.000
Te  0.260  0.000  0.748
Te  0.267  0.500  0.266